(1)
Theoretical powder diffractogram of PrGa3CuRu for Cu Kα (weighted mean of Kα1 and Kα2), from a cell relaxed with GGA-PBE.
No peak broadening, texture or thermal motion is included.

Top 6 peaks for 15° ≤ 2θ ≤ 90°, low angle first:
2θ (°)  intensity  (hkl)
27.79  45  2 0 0
31.51  38  2 2 0
33.92  42  0 2 2
41.71  99  2 0 2
42.61  100  1 5 1
59.65  37  3 5 1

```
data_PrGa3CuRu
_chemical_formula_sum 'Pr4 Ga12 Cu4 Ru4'
_cell_length_a 6.420
_cell_length_b 12.170
_cell_length_c 5.868
_cell_angle_alpha 90.00
_cell_angle_beta 90.00
_cell_angle_gamma 90.00
_symmetry_space_group_name_H-M 'C m c m'
_symmetry_Int_Tables_number 63
_symmetry_space_group_name_Hall '-C 2c 2'
loop_
_atom_site_label
_atom_site_fract_x
_atom_site_fract_y
_atom_site_fract_z
Pr1 0.000 0.235 0.250
Ga1 0.000 0.343 0.750
Ga2 0.195 0.000 0.000
Cu1 0.000 0.143 0.750
Ru1 0.000 0.455 0.250
```

=====

(2)
Theoretical powder diffractogram of Ga2Cu2Pt7 for Cu Kα (weighted mean of Kα1 and Kα2), from a cell relaxed with GGA-PBE.
No peak broadening, texture or thermal motion is included.

Top 6 peaks for 15° ≤ 2θ ≤ 90°, low angle first:
2θ (°)  intensity  (hkl)
31.12  100  2 2 0
34.81  42  1 1 2
42.48  46  0 4 0
44.51  91  2 2 2
46.38  26  1 3 2
46.63  34  4 0 0

```
data_Ga2Cu2Pt7
_chemical_formula_sum 'Ga4 Cu4 Pt14'
_cell_length_a 7.792
_cell_length_b 8.513
_cell_length_c 5.768
_cell_angle_alpha 90.00
_cell_angle_beta 90.00
_cell_angle_gamma 90.00
_symmetry_space_group_name_H-M 'C m m m'
_symmetry_Int_Tables_number 65
_symmetry_space_group_name_Hall '-C 2 2'
loop_
_atom_site_label
_atom_site_fract_x
_atom_site_fract_y
_atom_site_fract_z
Ga1 0.207 0.000 0.000
Cu1 0.000 0.281 0.500
Pt1 0.000 0.000 0.500
Pt2 0.000 0.500 0.227
Pt3 0.250 0.250 0.240
```